# SrNiSn2Ir
Theoretical powder diffractogram, Cu Ka. Input: a cell relaxed with PBE.

The 10 most intense peaks (5 to 70 degrees two-theta), in order of rising 2θ:
2theta  d (Å)  I_rel
15.71  5.641  49
21.23  4.185  52
30.97  2.887  100
32.27  2.774  91
40.02  2.253  88
42.82  2.112  69
44.93  2.018  21
51.44  1.776  49
56.85  1.619  33
57.88  1.593  30

Cell and atoms:
a b c (Å): 4.5061 4.5061 11.2828
angles (deg): 90.00 90.00 90.00
Space group I-4m2 (No. 119)
Asymmetric unit:
1 Sr 0.0000 0.0000 0.0000 [2 per cell]
2 Ni 0.0000 0.5000 0.7500 [2 per cell]
3 Sn 0.0000 0.0000 0.3656 [4 per cell]
4 Ir 0.0000 0.5000 0.2500 [2 per cell]

# UPa2C3
Theoretical powder diffractogram, Cu Ka. Input: a cell relaxed with PBE.

The 8 most intense peaks (5 to 70 degrees two-theta), in order of rising 2θ:
2theta  d (Å)  I_rel
30.77  2.905  100
35.57  2.524  42
35.91  2.501  20
51.18  1.785  15
51.44  1.776  29
60.92  1.521  31
61.38  1.511  15
64.10  1.453  15

Cell and atoms:
a b c (Å): 3.5695 3.5695 15.0043
angles (deg): 90.00 90.00 90.00
Space group I4/mmm (No. 139)
Asymmetric unit:
1 U 0.0000 0.0000 0.0000 [2 per cell]
2 Pa 0.0000 0.0000 0.3336 [4 per cell]
3 C 0.0000 0.0000 0.1601 [4 per cell]
4 C 0.0000 0.0000 0.5000 [2 per cell]

# Ce7PuRh2
Theoretical powder diffractogram, Cu Ka. Input: a cell relaxed with PBE.

The 10 most intense peaks (5 to 70 degrees two-theta), in order of rising 2θ:
2theta  d (Å)  I_rel
13.06  6.776  21
31.33  2.855  26
31.87  2.808  41
32.50  2.755  24
33.10  2.707  100
34.24  2.619  73
36.25  2.478  23
37.59  2.393  27
41.13  2.195  26
41.74  2.164  19

Cell and atoms:
a b c (Å): 15.3954 8.0412 9.1471
angles (deg): 90.00 125.16 90.00
Space group C2/c (No. 15)
Asymmetric unit:
1 Ce 0.0000 0.0083 0.2500 [4 per cell]
2 Ce 0.0728 0.3154 0.1251 [8 per cell]
3 Ce 0.1497 0.2664 0.8219 [8 per cell]
4 Ce 0.2055 0.3848 0.5464 [8 per cell]
5 Pu 0.0000 0.4729 0.7500 [4 per cell]
6 Rh 0.1683 0.0051 0.6120 [8 per cell]